# BaNaRuO6
Simulated powder XRD pattern, Cu Kα, 1.54184 Å. Input: a DFT-relaxed cell (PBE, Alexandria).
Intensities are scaled so that the largest is 100.

Structural model:
```
data_BaNaRuO6
_cell_length_a 4.5436
_cell_length_b 5.6546
_cell_length_c 5.7839
_cell_angle_alpha 118.83
_cell_angle_beta 92.62
_cell_angle_gamma 93.01
_symmetry_space_group_name_H-M 'P 1'
_symmetry_Int_Tables_number 1
_symmetry_space_group_name_Hall 'P 1'
loop_
_atom_site_label
_atom_site_fract_x
_atom_site_fract_y
_atom_site_fract_z
Ba1 0.0000 0.0000 0.0000
Na1 0.6480 0.6334 0.2946
Ru1 0.2983 0.3456 0.6630
O1 0.0309 0.0489 0.5275
O2 0.0420 0.4956 0.0023
O3 0.0541 0.5243 0.5480
O4 0.4720 0.6880 0.9244
O5 0.5114 0.2043 0.8416
O6 0.5300 0.2530 0.3954
```

Main lines, most intense first (10 to 80 degrees two-theta):
30.92 deg, intensity 100, hkl 0 1 1; 25.56 deg, intensity 87, hkl 1 -1 0; 26.85 deg, intensity 83, hkl 1 1 -1; 18.00 deg, intensity 81, hkl 0 1 -1; 27.52 deg, intensity 73, hkl 1 0 1; 19.63 deg, intensity 47, hkl 1 0 0